[1]
Starting from DFT lattice parameters and positions (GGA-PBE), the powder diffractogram of Cu3Cl4 was calculated for λ = 1.5418 Å (Cu Kα).
Intensities are scaled so that the largest is 100.

Peak list (10 most intense, 2θ from 10° to 90°, sorted by position)
(hkl)  2θ/deg  Rel. int.
1 0 0  16.6  21.8
1 1 0  23.6  18.7
1 1 1  29.0  100.0
2 1 0  37.7  10.6
2 1 1  41.4  8.3
2 2 0  48.2  63.5
2 2 1  51.4  5.3
3 1 1  57.3  37.9
4 0 0  70.6  9.2
3 3 1  78.1  14.2

```
data_Cu3Cl4
_chemical_formula_sum 'Cu3 Cl4'
_space_group_name_H-M_alt 'P -4 3 m'
_space_group_IT_number 215
_space_group_name_Hall 'P -4 2 3'
_cell_length_a 5.337
_cell_length_b 5.337
_cell_length_c 5.337
_cell_angle_alpha 90.00
_cell_angle_beta 90.00
_cell_angle_gamma 90.00
loop_
_atom_site_label
_atom_site_fract_x
_atom_site_fract_y
_atom_site_fract_z
Cu1 0.000 0.000 0.500
Cl1 0.249 0.249 0.751
```

***

[2]
Starting from DFT lattice parameters and positions (GGA-PBE), the powder diffractogram of CuCl3 was calculated for λ = 1.5418 Å (Cu Kα).
Intensities are scaled so that the largest is 100.

Peak list (10 most intense, 2θ from 10° to 90°, sorted by position)
(hkl)  2θ/deg  Rel. int.
0 1 1  15.5  96.7
0 2 0  18.0  35.9
0 0 2  25.3  100.0
0 2 2  31.3  18.4
1 2 1  37.1  82.8
1 3 0  40.5  18.5
1 3 2  48.3  21.1
1 4 1  49.4  37.5
1 2 3  52.7  27.0
1 4 3  62.7  17.0

```
data_CuCl3
_chemical_formula_sum 'Cu2 Cl6'
_space_group_name_H-M_alt 'I m m 2'
_space_group_IT_number 44
_cell_length_a 3.037
_cell_length_b 9.855
_cell_length_c 7.031
_cell_angle_alpha 90.00
_cell_angle_beta 90.00
_cell_angle_gamma 90.00
loop_
_space_group_symop_operation_xyz
'x,y,z'
'-x,-y,z'
'-x,y,z'
'x,-y,z'
'x+1/2,y+1/2,z+1/2'
'-x+1/2,-y+1/2,z+1/2'
'-x+1/2,y+1/2,z+1/2'
'x+1/2,-y+1/2,z+1/2'
loop_
_atom_site_label
_atom_site_fract_x
_atom_site_fract_y
_atom_site_fract_z
Cu1 0.000 0.000 0.000
Cl1 0.000 0.337 0.500
Cl2 0.000 0.500 0.999
```

***

[3]
Starting from DFT lattice parameters and positions (GGA-PBE), the powder diffractogram of Cu5Cl7 was calculated for λ = 1.5418 Å (Cu Kα).
Intensities are scaled so that the largest is 100.

Peak list (10 most intense, 2θ from 10° to 90°, sorted by position)
(hkl)  2θ/deg  Rel. int.
0 0 2  14.3  77.2
0 0 3  21.6  43.1
0 1 -2  21.8  89.2
0 1 3  24.0  100.0
1 -1 0  28.5  80.3
0 1 4  30.2  41.6
1 0 -4  40.8  37.1
1 -2 2  41.4  41.4
1 2 4  43.8  30.2
2 0 1  50.5  42.0

```
data_Cu5Cl7
_chemical_formula_sum 'Cu5 Cl7'
_space_group_name_H-M_alt 'P -1'
_space_group_IT_number 2
_cell_length_a 3.616
_cell_length_b 6.277
_cell_length_c 12.609
_cell_angle_alpha 80.99
_cell_angle_beta 83.05
_cell_angle_gamma 89.70
loop_
_space_group_symop_operation_xyz
'x,y,z'
'-x,-y,-z'
loop_
_atom_site_label
_atom_site_fract_x
_atom_site_fract_y
_atom_site_fract_z
Cu1 0.000 0.000 0.000
Cu2 0.236 0.285 0.552
Cu3 0.425 0.450 0.166
Cl1 0.000 0.000 0.500
Cl2 0.081 0.758 0.817
Cl3 0.321 0.561 0.374
Cl4 0.462 0.791 0.084
```

***

[4]
Starting from DFT lattice parameters and positions (GGA-PBE), the powder diffractogram of DyCu2Cl8 was calculated for λ = 1.5418 Å (Cu Kα).
Intensities are scaled so that the largest is 100.

Peak list (10 most intense, 2θ from 10° to 90°, sorted by position)
(hkl)  2θ/deg  Rel. int.
1 0 1  15.2  95.2
1 1 2  24.2  100.0
1 0 3  26.3  22.1
2 1 1  30.9  53.6
2 1 3  37.8  39.5
2 2 0  38.1  26.2
2 0 4  40.9  58.7
3 1 2  45.6  40.7
2 1 5  49.3  13.5
1 1 6  50.4  15.4

```
data_DyCu2Cl8
_chemical_formula_sum 'Dy2 Cu4 Cl16'
_space_group_name_H-M_alt 'I 4 2 2'
_space_group_IT_number 97
_space_group_name_Hall 'I 4 2'
_cell_length_a 6.683
_cell_length_b 6.683
_cell_length_c 11.773
_cell_angle_alpha 90.00
_cell_angle_beta 90.00
_cell_angle_gamma 90.00
loop_
_atom_site_label
_atom_site_fract_x
_atom_site_fract_y
_atom_site_fract_z
Dy1 0.000 0.000 0.000
Cu1 0.000 0.500 0.250
Cl1 0.166 0.322 0.882
```

***

[5]
Starting from DFT lattice parameters and positions (GGA-PBE), the powder diffractogram of DyCu5Cl12 was calculated for λ = 1.5418 Å (Cu Kα).
Intensities are scaled so that the largest is 100.

Peak list (10 most intense, 2θ from 10° to 90°, sorted by position)
(hkl)  2θ/deg  Rel. int.
0 0 2  13.9  100.0
1 3 -1  28.4  14.0
1 3 1  28.6  15.2
1 3 2  31.2  19.3
1 3 -3  34.7  21.0
1 3 3  35.1  17.6
2 0 4  41.5  12.1
1 3 -5  45.1  13.5
3 3 -1  51.4  11.0
3 3 1  51.7  11.4

```
data_DyCu5Cl12
_chemical_formula_sum 'Dy2 Cu10 Cl24'
_space_group_name_H-M_alt 'C 1 2/m 1'
_space_group_IT_number 12
_cell_length_a 6.086
_cell_length_b 11.440
_cell_length_c 12.741
_cell_angle_alpha 90.00
_cell_angle_beta 91.16
_cell_angle_gamma 90.00
loop_
_space_group_symop_operation_xyz
'x,y,z'
'-x,-y,-z'
'-x,y,-z'
'x,-y,z'
'x+1/2,y+1/2,z'
'-x+1/2,-y+1/2,-z'
'-x+1/2,y+1/2,-z'
'x+1/2,-y+1/2,z'
loop_
_atom_site_label
_atom_site_fract_x
_atom_site_fract_y
_atom_site_fract_z
Dy1 0.000 0.000 0.000
Cu1 0.000 0.166 0.500
Cu2 0.000 0.349 0.000
Cu3 0.000 0.500 0.500
Cl1 0.166 0.500 0.125
Cl2 0.193 0.000 0.397
Cl3 0.193 0.333 0.397
Cl4 0.204 0.168 0.109
```

***

[6]
Starting from DFT lattice parameters and positions (GGA-PBE), the powder diffractogram of KDyCuCl6 was calculated for λ = 1.5418 Å (Cu Kα).
Intensities are scaled so that the largest is 100.

Peak list (10 most intense, 2θ from 10° to 90°, sorted by position)
(hkl)  2θ/deg  Rel. int.
0 0 1  12.6  100.0
1 0 0  14.9  31.8
1 0 -1  18.8  41.5
0 1 1  20.4  34.2
1 -1 1  20.6  45.6
1 1 -1  27.2  37.0
-1 2 1  30.9  43.8
1 1 -2  34.3  27.4
2 -1 2  38.6  40.8
3 0 0  45.9  25.5

```
data_KDyCuCl6
_chemical_formula_sum 'K1 Dy1 Cu1 Cl6'
_space_group_name_H-M_alt 'P 1'
_space_group_IT_number 1
_cell_length_a 6.535
_cell_length_b 6.537
_cell_length_c 7.037
_cell_angle_alpha 93.05
_cell_angle_beta 93.06
_cell_angle_gamma 114.30
loop_
_space_group_symop_operation_xyz
'x,y,z'
loop_
_atom_site_label
_atom_site_fract_x
_atom_site_fract_y
_atom_site_fract_z
K1 0.000 0.000 0.000
Dy1 0.662 0.339 0.500
Cu1 0.315 0.689 0.498
Cl1 0.343 0.011 0.674
Cl2 0.345 0.419 0.291
Cl3 0.582 0.657 0.707
Cl4 0.615 0.027 0.244
Cl5 0.972 0.384 0.757
Cl6 0.990 0.657 0.325
```

***

[7]
Starting from DFT lattice parameters and positions (GGA-PBE), the powder diffractogram of NaDyCu2Cl8 was calculated for λ = 1.5418 Å (Cu Kα).
Intensities are scaled so that the largest is 100.

Peak list (10 most intense, 2θ from 10° to 90°, sorted by position)
(hkl)  2θ/deg  Rel. int.
0 0 2  13.0  23.2
1 0 1  15.3  34.2
1 1 2  23.6  100.0
2 1 1  31.9  26.5
1 1 4  32.9  32.6
2 0 4  38.6  39.5
2 2 0  39.8  26.1
1 1 6  44.6  23.3
1 3 2  46.8  44.3
2 0 8  61.6  16.4

```
data_NaDyCu2Cl8
_chemical_formula_sum 'Na2 Dy2 Cu4 Cl16'
_space_group_name_H-M_alt 'I -4'
_space_group_IT_number 82
_cell_length_a 6.400
_cell_length_b 6.400
_cell_length_c 13.652
_cell_angle_alpha 90.00
_cell_angle_beta 90.00
_cell_angle_gamma 90.00
loop_
_space_group_symop_operation_xyz
'x,y,z'
'y,-x,-z'
'-x,-y,z'
'-y,x,-z'
'x+1/2,y+1/2,z+1/2'
'y+1/2,-x+1/2,-z+1/2'
'-x+1/2,-y+1/2,z+1/2'
'-y+1/2,x+1/2,-z+1/2'
loop_
_atom_site_label
_atom_site_fract_x
_atom_site_fract_y
_atom_site_fract_z
Na1 0.000 0.000 0.000
Dy1 0.000 0.500 0.250
Cu1 0.000 0.000 0.500
Cu2 0.000 0.500 0.750
Cl1 0.153 0.279 0.423
Cl2 0.173 0.776 0.817
```

***

[8]
Starting from DFT lattice parameters and positions (GGA-PBE), the powder diffractogram of Rb2DyCuCl6 was calculated for λ = 1.5418 Å (Cu Kα).
Intensities are scaled so that the largest is 100.

Peak list (10 most intense, 2θ from 10° to 90°, sorted by position)
(hkl)  2θ/deg  Rel. int.
1 -1 1  22.5  68.4
0 2 -1  24.4  100.0
2 0 -1  25.2  30.8
0 0 2  31.5  55.7
2 -2 0  32.6  42.5
2 2 -2  37.9  27.5
0 2 1  40.2  21.8
1 -3 2  40.7  37.2
3 -1 0  41.6  19.5
2 -2 2  45.9  29.9

```
data_Rb2DyCuCl6
_chemical_formula_sum 'Rb2 Dy1 Cu1 Cl6'
_space_group_name_H-M_alt 'P -1'
_space_group_IT_number 2
_cell_length_a 7.152
_cell_length_b 7.374
_cell_length_c 7.402
_cell_angle_alpha 115.23
_cell_angle_beta 114.22
_cell_angle_gamma 98.43
loop_
_space_group_symop_operation_xyz
'x,y,z'
'-x,-y,-z'
loop_
_atom_site_label
_atom_site_fract_x
_atom_site_fract_y
_atom_site_fract_z
Rb1 0.243 0.243 0.486
Dy1 0.000 0.500 0.000
Cu1 0.500 0.000 0.000
Cl1 0.222 0.828 0.000
Cl2 0.231 0.732 0.463
Cl3 0.289 0.319 0.002
```

***

[9]
Starting from DFT lattice parameters and positions (GGA-PBE), the powder diffractogram of DyTlCuCl6 was calculated for λ = 1.5418 Å (Cu Kα).
Intensities are scaled so that the largest is 100.

Peak list (10 most intense, 2θ from 10° to 90°, sorted by position)
(hkl)  2θ/deg  Rel. int.
1 1 -1  18.6  100.0
1 1 1  20.2  82.1
0 2 1  20.3  93.8
2 0 0  25.2  27.4
1 3 0  27.3  39.7
2 2 -1  31.6  28.4
2 0 -2  34.0  36.3
1 3 -2  36.5  34.7
1 3 2  38.2  53.8
3 3 0  45.7  32.8

```
data_DyTlCuCl6
_chemical_formula_sum 'Dy2 Tl2 Cu2 Cl12'
_space_group_name_H-M_alt 'C 1 2 1'
_space_group_IT_number 5
_cell_length_a 7.092
_cell_length_b 11.073
_cell_length_c 7.159
_cell_angle_alpha 90.00
_cell_angle_beta 95.51
_cell_angle_gamma 90.00
loop_
_space_group_symop_operation_xyz
'x,y,z'
'-x,y,-z'
'x+1/2,y+1/2,z'
'-x+1/2,y+1/2,-z'
loop_
_atom_site_label
_atom_site_fract_x
_atom_site_fract_y
_atom_site_fract_z
Dy1 0.000 0.000 0.000
Tl1 0.000 0.327 0.500
Cu1 0.000 0.653 0.000
Cl1 0.119 0.803 0.204
Cl2 0.177 0.133 0.254
Cl3 0.178 0.508 0.171
```

***

[10]
Starting from DFT lattice parameters and positions (GGA-PBE), the powder diffractogram of NaErCuCl5 was calculated for λ = 1.5418 Å (Cu Kα).
Intensities are scaled so that the largest is 100.

Peak list (10 most intense, 2θ from 10° to 90°, sorted by position)
(hkl)  2θ/deg  Rel. int.
1 1 0  14.0  98.6
0 2 0  15.2  30.2
1 1 -2  20.3  100.0
2 0 0  23.5  43.1
0 2 2  25.2  79.3
1 3 0  25.8  40.4
3 1 -2  34.2  31.4
2 2 2  40.0  25.8
3 3 0  42.8  32.1
1 3 -4  44.3  26.3

```
data_NaErCuCl5
_chemical_formula_sum 'Na4 Er4 Cu4 Cl20'
_space_group_name_H-M_alt 'C 1 2/c 1'
_space_group_IT_number 15
_cell_length_a 8.213
_cell_length_b 11.645
_cell_length_c 9.682
_cell_angle_alpha 90.00
_cell_angle_beta 113.04
_cell_angle_gamma 90.00
loop_
_space_group_symop_operation_xyz
'x,y,z'
'-x,-y,-z'
'-x,y,-z+1/2'
'x,-y,z+1/2'
'x+1/2,y+1/2,z'
'-x+1/2,-y+1/2,-z'
'-x+1/2,y+1/2,-z+1/2'
'x+1/2,-y+1/2,z+1/2'
loop_
_atom_site_label
_atom_site_fract_x
_atom_site_fract_y
_atom_site_fract_z
Na1 0.000 0.127 0.250
Er1 0.000 0.500 0.000
Cu1 0.000 0.193 0.750
Cl1 0.000 0.405 0.250
Cl2 0.141 0.309 0.636
Cl3 0.174 0.067 0.938
```

***

[11]
Starting from DFT lattice parameters and positions (GGA-PBE), the powder diffractogram of ErCu3Se2ClO8 was calculated for λ = 1.5418 Å (Cu Kα).
Intensities are scaled so that the largest is 100.

Peak list (10 most intense, 2θ from 10° to 90°, sorted by position)
(hkl)  2θ/deg  Rel. int.
0 1 1  15.7  53.1
1 1 0  16.8  88.3
1 2 1  26.6  74.9
1 1 2  30.6  48.3
2 0 1  30.9  42.3
1 3 0  31.5  58.4
0 2 2  31.6  100.0
2 2 0  33.9  50.9
2 2 1  36.3  54.9
2 4 2  54.8  58.2

```
data_ErCu3Se2ClO8
_chemical_formula_sum 'Er2 Cu6 Se4 Cl2 O16'
_space_group_name_H-M_alt 'P m m n'
_space_group_IT_number 59
_cell_length_a 6.352
_cell_length_b 9.522
_cell_length_c 7.028
_cell_angle_alpha 90.00
_cell_angle_beta 90.00
_cell_angle_gamma 90.00
loop_
_space_group_symop_operation_xyz
'x,y,z'
'-x,-y,-z'
'-x+1/2,-y+1/2,z'
'x+1/2,y+1/2,-z'
'x+1/2,-y,-z'
'-x+1/2,y,z'
'-x,y+1/2,-z'
'x,-y+1/2,z'
loop_
_atom_site_label
_atom_site_fract_x
_atom_site_fract_y
_atom_site_fract_z
Er1 0.250 0.250 0.234
Cu1 0.000 0.000 0.500
Cu2 0.250 0.250 0.705
Se1 0.250 0.562 0.911
Cl1 0.250 0.750 0.345
O1 0.037 0.590 0.761
O2 0.250 0.112 0.501
O3 0.250 0.120 0.927
```

***

[12]
Starting from DFT lattice parameters and positions (GGA-PBE), the powder diffractogram of Rb2EuCuCl6 was calculated for λ = 1.5418 Å (Cu Kα).
Intensities are scaled so that the largest is 100.

Peak list (10 most intense, 2θ from 10° to 90°, sorted by position)
(hkl)  2θ/deg  Rel. int.
2 0 0  16.9  17.3
2 2 0  24.0  100.0
4 0 0  34.2  71.6
4 2 2  42.2  45.4
4 4 0  49.1  47.5
6 2 0  55.4  21.5
4 4 4  61.2  15.7
6 4 2  66.7  24.2
6 6 0  77.2  11.6
8 4 0  82.2  19.9

```
data_Rb2EuCuCl6
_chemical_formula_sum 'Rb8 Eu4 Cu4 Cl24'
_space_group_name_H-M_alt 'F m -3 m'
_space_group_IT_number 225
_space_group_name_Hall '-F 4 2 3'
_cell_length_a 10.489
_cell_length_b 10.489
_cell_length_c 10.489
_cell_angle_alpha 90.00
_cell_angle_beta 90.00
_cell_angle_gamma 90.00
loop_
_atom_site_label
_atom_site_fract_x
_atom_site_fract_y
_atom_site_fract_z
Rb1 0.250 0.250 0.250
Eu1 0.000 0.000 0.000
Cu1 0.000 0.000 0.500
Cl1 0.000 0.000 0.262
```

***

[13]
Starting from DFT lattice parameters and positions (GGA-PBE), the powder diffractogram of K2CuCl2F4 was calculated for λ = 1.5418 Å (Cu Kα).
Intensities are scaled so that the largest is 100.

Peak list (10 most intense, 2θ from 10° to 90°, sorted by position)
(hkl)  2θ/deg  Rel. int.
1 0 1  17.9  41.2
1 1 0  18.7  40.5
2 0 0  26.5  92.0
1 1 2  30.8  100.0
2 2 0  37.9  98.5
1 0 3  39.2  60.5
2 1 3  47.9  33.2
0 0 4  49.6  38.6
3 2 3  62.6  33.9
3 3 2  64.0  25.0

```
data_K2CuCl2F4
_chemical_formula_sum 'K4 Cu2 Cl4 F8'
_space_group_name_H-M_alt 'I 4/m m m'
_space_group_IT_number 139
_space_group_name_Hall '-I 4 2'
_cell_length_a 6.719
_cell_length_b 6.719
_cell_length_c 7.344
_cell_angle_alpha 90.00
_cell_angle_beta 90.00
_cell_angle_gamma 90.00
loop_
_atom_site_label
_atom_site_fract_x
_atom_site_fract_y
_atom_site_fract_z
K1 0.000 0.500 0.250
Cu1 0.000 0.000 0.000
Cl1 0.000 0.000 0.358
F1 0.198 0.198 0.000
```